Record 1
# NbV3Ni
Theoretical XRD peak list, Cu Kα X-rays. Input: the PBE geometry in Alexandria.
Kinematic intensities with the Lorentz-polarization factor, no thermal factor.

Top 10 peaks for 10° ≤ 2θ ≤ 90°, in order of rising 2θ:
Position (°2θ)	d [Å]	I (rel.)
34.3	2.611	52
35.7	2.516	25
37.5	2.401	28
38.6	2.332	26
42.2	2.142	39
42.3	2.135	41
43.1	2.097	100
47.9	1.901	26
48.9	1.863	24
72.4	1.305	26

Structural model:
abc: 6.429 6.429 4.802
angles: 90.00 90.00 133.50
Sites, in units of the cell vectors:
Nb: 0.077 0.923 0.750
Nb: 0.923 0.077 0.250
V: 0.093 0.407 0.750
V: 0.319 0.681 0.250
V: 0.407 0.093 0.250
V: 0.593 0.907 0.750
V: 0.681 0.319 0.750
V: 0.907 0.593 0.250
Ni: 0.500 0.500 0.000
Ni: 0.500 0.500 0.500


Record 2
# YNb2Ni9
Theoretical XRD peak list, Cu Kα X-rays. Input: the PBE geometry in Alexandria.
Kinematic intensities with the Lorentz-polarization factor, no thermal factor.

Top 10 peaks for 10° ≤ 2θ ≤ 90°, in order of rising 2θ:
Position (°2θ)	d [Å]	I (rel.)
34.2	2.625	24
37.3	2.413	49
43.4	2.083	28
44.0	2.058	100
46.1	1.969	29
47.6	1.911	38
67.2	1.394	10
71.5	1.319	7
71.9	1.314	25
79.4	1.207	19

Structural model:
abc: 8.351 8.351 8.351
angles: 33.61 33.61 33.61
Sites, in units of the cell vectors:
Y: 0.000 0.000 0.000
Nb: 0.142 0.142 0.142
Nb: 0.858 0.858 0.858
Ni: 0.082 0.589 0.589
Ni: 0.334 0.334 0.334
Ni: 0.411 0.411 0.918
Ni: 0.411 0.918 0.411
Ni: 0.500 0.500 0.500
Ni: 0.589 0.082 0.589
Ni: 0.589 0.589 0.082
Ni: 0.666 0.666 0.666
Ni: 0.918 0.411 0.411